This entry pairs a crystal structure of Li2MnSnS4 with its theoretical PXRD pattern. Radiation: CuKα. Structure: a structure optimized by DFT (GGA-PBE).
Lines closer than 0.1° are merged.

```
16
Lattice="6.4862 0.0000 0.0000 0.0000 6.8765 0.0000 -6.4624 0.0000 8.0443" Properties=species:S:1:pos:R:3 pbc="T T T"
Li 0.0000 1.1104 0.0000
Li -3.2312 5.7660 4.0221
Li 3.2613 2.2905 1.9839
Li 0.0301 4.5859 6.0061
Mn -3.2019 2.2614 6.0331
Mn 0.0293 4.6151 2.0110
Sn 0.0371 1.1730 4.0107
Sn -3.1942 5.7035 8.0328
S -0.7556 2.3376 2.0296
S -3.9868 4.5389 6.0517
S -3.9894 1.1199 8.0054
S -0.7582 5.7566 3.9832
S -0.7940 2.2703 6.0103
S 2.4373 4.6062 1.9882
S 2.4713 1.2208 4.0364
S 5.7025 5.6557 0.0142
```

Main lines, in order of falling intensity (10 to 90 degrees two-theta):
- hkl 1 0 0, 2θ 17.56, I = 1000
- hkl 0 1 1, 2θ 16.96, I = 847
- hkl 0 1 2, 2θ 25.66, I = 622
- hkl 2 0 -2, 2θ 27.50, I = 566
- hkl 0 3 2, 2θ 45.55, I = 506
- hkl 3 1 -5, 2θ 49.78, I = 493
- hkl 1 1 -3, 2θ 29.17, I = 478
- hkl 0 2 0, 2θ 25.91, I = 356